Li4Mn8O13F3: simulated powder diffraction line list (Cu Kα X-rays), based on a crystal structure in the Materials Project, relaxed with GGA+U.

Structure:
```
data_Li4Mn8O13F3
_chemical_formula_sum 'Li4 Mn8 O13 F3'
_space_group_name_H-M_alt 'P 1'
_space_group_IT_number 1
_space_group_name_Hall 'P 1'
_cell_length_a 5.950
_cell_length_b 5.952
_cell_length_c 10.385
_cell_angle_alpha 92.32
_cell_angle_beta 104.96
_cell_angle_gamma 118.47
loop_
_atom_site_label
_atom_site_type_symbol
_atom_site_fract_x
_atom_site_fract_y
_atom_site_fract_z
Li1 Li 0.000 0.000 0.000
Li2 Li 0.001 0.503 0.500
Li3 Li 0.205 0.183 0.386
Li4 Li 0.215 0.672 0.882
Mn1 Mn 0.103 0.594 0.192
Mn2 Mn 0.113 0.108 0.698
Mn3 Mn 0.595 0.350 0.940
Mn4 Mn 0.596 0.591 0.699
Mn5 Mn 0.602 0.590 0.193
Mn6 Mn 0.604 0.094 0.692
Mn7 Mn 0.605 0.092 0.191
Mn8 Mn 0.606 0.838 0.443
O1 O 0.340 0.464 0.805
O2 O 0.351 0.745 0.091
O3 O 0.363 0.019 0.811
O4 O 0.366 0.517 0.309
O5 O 0.368 0.229 0.592
O6 O 0.413 0.239 0.078
O7 O 0.413 0.732 0.574
O8 O 0.794 0.943 0.309
O9 O 0.798 0.455 0.811
O10 O 0.839 0.669 0.078
O11 O 0.845 0.953 0.790
O12 O 0.846 0.164 0.573
O13 O 0.858 0.440 0.294
F1 F 0.344 0.986 0.327
F2 F 0.870 0.202 0.061
F3 F 0.872 0.707 0.568
```

Main lines, in order of rising 2θ (2θ = 15–90°):
| Position (°2θ) | d [Å] | Rel. int. | hkl |
| --- | --- | --- | --- |
| 17.9 | 4.962 | 100 | 0 1 -1 |
| 18.0 | 4.923 | 53 | 0 0 2 |
| 18.6 | 4.771 | 51 | -1 1 1 |
| 34.7 | 2.586 | 42 | 2 -1 1 |
| 35.0 | 2.566 | 21 | 2 0 -2 |
| 35.2 | 2.550 | 20 | 1 0 -4 |
| 42.2 | 2.141 | 41 | 2 -2 2 |
| 42.8 | 2.114 | 78 | 0 2 2 |
| 60.8 | 1.522 | 37 | 0 2 -6 |
| 62.5 | 1.486 | 21 | 2 -4 0 |

Mn3OF5: simulated powder diffraction line list (Cu Kα X-rays), based on a crystal structure in the Materials Project, relaxed with GGA+U.

Structure:
```
data_Mn3OF5
_chemical_formula_sum 'Mn12 O4 F20'
_space_group_name_H-M_alt 'C 1 2/m 1'
_space_group_IT_number 12
_space_group_name_Hall '-C 2y'
_cell_length_a 6.784
_cell_length_b 7.005
_cell_length_c 9.788
_cell_angle_alpha 90.00
_cell_angle_beta 90.58
_cell_angle_gamma 90.00
loop_
_atom_site_label
_atom_site_type_symbol
_atom_site_fract_x
_atom_site_fract_y
_atom_site_fract_z
Mn1 Mn 0.000 0.000 0.000
Mn2 Mn 0.000 0.500 0.500
Mn3 Mn 0.004 0.000 0.323
Mn4 Mn 0.032 0.500 0.837
O1 O 0.174 0.000 0.156
F1 F 0.000 0.297 0.000
F2 F 0.011 0.304 0.668
F3 F 0.189 0.000 0.507
F4 F 0.220 0.000 0.839
```

Main lines, in order of rising 2θ (2θ = 15–90°):
| Position (°2θ) | d [Å] | Rel. int. | hkl |
| --- | --- | --- | --- |
| 25.4 | 3.502 | 100 | 0 2 0 |
| 26.3 | 3.392 | 95 | 2 0 0 |
| 32.9 | 2.720 | 51 | 1 1 -3 |
| 33.2 | 2.702 | 52 | 1 1 3 |
| 37.7 | 2.387 | 23 | 0 2 3 |
| 49.8 | 1.831 | 34 | 1 3 -3 |
| 50.0 | 1.826 | 34 | 1 3 3 |
| 50.6 | 1.804 | 29 | 3 1 -3 |
| 51.1 | 1.788 | 26 | 3 1 3 |
| 63.8 | 1.458 | 23 | 3 3 -3 |

V3O5F: simulated powder diffraction line list (Cu Kα X-rays), based on a crystal structure in the Materials Project, relaxed with GGA+U.

Structure:
```
data_V3O5F
_chemical_formula_sum 'V6 O10 F2'
_space_group_name_H-M_alt 'P 1'
_space_group_IT_number 1
_space_group_name_Hall 'P 1'
_cell_length_a 5.516
_cell_length_b 5.521
_cell_length_c 7.260
_cell_angle_alpha 70.90
_cell_angle_beta 71.02
_cell_angle_gamma 73.86
loop_
_atom_site_label
_atom_site_type_symbol
_atom_site_fract_x
_atom_site_fract_y
_atom_site_fract_z
V1 V 0.000 0.000 0.000
V2 V 0.014 0.028 0.491
V3 V 0.330 0.332 0.160
V4 V 0.363 0.301 0.686
V5 V 0.649 0.658 0.855
V6 V 0.685 0.691 0.334
O1 O 0.122 0.117 0.690
O2 O 0.246 0.233 0.966
O3 O 0.298 0.707 0.000
O4 O 0.367 0.966 0.344
O5 O 0.558 0.559 0.635
O6 O 0.655 0.016 0.674
O7 O 0.710 0.309 0.994
O8 O 0.753 0.758 0.051
O9 O 0.902 0.906 0.310
O10 O 0.963 0.376 0.341
F1 F 0.037 0.636 0.671
F2 F 0.442 0.433 0.370
```

Main lines, in order of rising 2θ (2θ = 15–90°):
| Position (°2θ) | d [Å] | Rel. int. | hkl |
| --- | --- | --- | --- |
| 26.9 | 3.310 | 100 | 1 1 2 |
| 35.9 | 2.502 | 23 | 1 0 -2 |
| 36.1 | 2.489 | 11 | 1 2 0 |
| 36.1 | 2.488 | 11 | 2 1 0 |
| 41.0 | 2.203 | 10 | 0 2 -1 |
| 53.5 | 1.712 | 21 | 0 1 4 |
| 53.7 | 1.708 | 13 | 1 -2 2 |
| 54.0 | 1.699 | 13 | 3 2 2 |
| 55.4 | 1.658 | 9 | 2 -2 0 |
| 68.1 | 1.376 | 10 | 4 1 2 |

Li2VPCO7: simulated powder diffraction line list (Cu Kα X-rays), based on a crystal structure in the Materials Project, relaxed with GGA+U.

Structure:
```
data_Li2VPCO7
_chemical_formula_sum 'Li4 V2 P2 C2 O14'
_space_group_name_H-M_alt 'P 1 21 1'
_space_group_IT_number 4
_space_group_name_Hall 'P 2yb'
_cell_length_a 5.088
_cell_length_b 6.451
_cell_length_c 8.414
_cell_angle_alpha 90.00
_cell_angle_beta 96.11
_cell_angle_gamma 90.00
loop_
_atom_site_label
_atom_site_type_symbol
_atom_site_fract_x
_atom_site_fract_y
_atom_site_fract_z
Li1 Li 0.213 0.000 0.101
Li2 Li 0.270 0.287 0.723
V1 V 0.201 0.488 0.324
P1 P 0.269 0.992 0.417
C1 C 0.320 0.497 0.045
O1 O 0.071 0.485 0.072
O2 O 0.138 0.013 0.572
O3 O 0.155 0.809 0.310
O4 O 0.211 0.182 0.304
O5 O 0.401 0.470 0.909
O6 O 0.429 0.461 0.543
O7 O 0.483 0.533 0.175
```

Main lines, in order of rising 2θ (2θ = 15–90°):
| Position (°2θ) | d [Å] | Rel. int. | hkl |
| --- | --- | --- | --- |
| 17.4 | 5.109 | 31 | 0 1 1 |
| 19.5 | 4.549 | 49 | 1 0 -1 |
| 21.5 | 4.139 | 74 | 1 0 1 |
| 25.6 | 3.483 | 31 | 1 1 1 |
| 26.2 | 3.407 | 31 | 1 0 -2 |
| 27.7 | 3.225 | 100 | 0 2 0 |
| 35.1 | 2.557 | 21 | 1 0 -3 |
| 36.0 | 2.496 | 24 | 2 0 -1 |
| 41.0 | 2.199 | 24 | 1 1 3 |
| 45.8 | 1.980 | 14 | 2 0 -3 |

MgMn4O8: simulated powder diffraction line list (Cu Kα X-rays), based on a crystal structure in the Materials Project, relaxed with GGA+U.

Structure:
```
data_MgMn4O8
_chemical_formula_sum 'Mg1 Mn4 O8'
_space_group_name_H-M_alt 'P -1'
_space_group_IT_number 2
_space_group_name_Hall '-P 1'
_cell_length_a 5.280
_cell_length_b 5.820
_cell_length_c 5.976
_cell_angle_alpha 62.40
_cell_angle_beta 89.56
_cell_angle_gamma 71.90
loop_
_atom_site_label
_atom_site_type_symbol
_atom_site_fract_x
_atom_site_fract_y
_atom_site_fract_z
Mg1 Mg 0.000 0.000 0.000
Mn1 Mn 0.458 0.516 0.743
Mn2 Mn 0.498 0.002 0.746
O1 O 0.281 0.769 0.865
O2 O 0.284 0.219 0.903
O3 O 0.296 0.756 0.335
O4 O 0.319 0.233 0.393
```

Main lines, in order of rising 2θ (2θ = 15–90°):
| Position (°2θ) | d [Å] | Rel. int. | hkl |
| --- | --- | --- | --- |
| 17.9 | 4.952 | 100 | 1 0 0 |
| 34.3 | 2.613 | 13 | 0 0 2 |
| 35.2 | 2.550 | 9 | 1 2 0 |
| 36.3 | 2.472 | 14 | 0 2 2 |
| 41.6 | 2.171 | 24 | 1 0 2 |
| 42.2 | 2.140 | 22 | 2 2 0 |
| 44.1 | 2.052 | 20 | -1 2 2 |
| 60.6 | 1.527 | 7 | 1 2 -2 |
| 62.3 | 1.491 | 11 | 0 2 4 |
| 64.1 | 1.454 | 6 | 1 4 2 |